No. 1
Calculated powder diffractogram
Compound: K2Na7Cd
Radiation: λ = 1.5418 Å (Cu Kα)
Structure: the GGA-PBE geometry in Alexandria
Kinematic intensities with the Lorentz-polarization factor, no thermal factor.

Atomic structure:
```
data_K2Na7Cd
_space_group_name_H-M_alt 'P 1'
_space_group_IT_number 1
_space_group_name_Hall 'P 1'
_cell_length_a 8.727
_cell_length_b 8.727
_cell_length_c 8.727
_cell_angle_alpha 60.00
_cell_angle_beta 60.00
_cell_angle_gamma 60.00
loop_
_atom_site_label
_atom_site_type_symbol
_atom_site_fract_x
_atom_site_fract_y
_atom_site_fract_z
_atom_site_occupancy
K1 K 0.250 0.250 0.250 1
K2 K 0.750 0.750 0.750 1
Na1 Na 0.000 0.000 0.000 1
Na2 Na 0.258 0.258 0.742 1
Na3 Na 0.258 0.742 0.258 1
Na4 Na 0.258 0.742 0.742 1
Na5 Na 0.742 0.258 0.258 1
Na6 Na 0.742 0.258 0.742 1
Na7 Na 0.742 0.742 0.258 1
Cd1 Cd 0.500 0.500 0.500 1
```

Largest 6 diffraction maxima, in order of rising 2θ, 10° ≤ 2θ ≤ 90°:
| two_theta | Rel. int. |
| --- | --- |
| 12.42 | 621 |
| 14.35 | 389 |
| 20.35 | 1000 |
| 28.94 | 929 |
| 35.64 | 453 |
| 41.38 | 667 |



No. 2
Calculated powder diffractogram
Compound: KNa4Cd
Radiation: λ = 1.5418 Å (Cu Kα)
Structure: the GGA-PBE geometry in Alexandria
Kinematic intensities with the Lorentz-polarization factor, no thermal factor.

Atomic structure:
```
data_KNa4Cd
_space_group_name_H-M_alt 'P 1'
_space_group_IT_number 1
_space_group_name_Hall 'P 1'
_cell_length_a 9.459
_cell_length_b 9.459
_cell_length_c 6.681
_cell_angle_alpha 105.95
_cell_angle_beta 105.95
_cell_angle_gamma 54.66
loop_
_atom_site_label
_atom_site_type_symbol
_atom_site_fract_x
_atom_site_fract_y
_atom_site_fract_z
_atom_site_occupancy
K1 K 0.222 0.222 0.160 1
K2 K 0.778 0.778 0.840 1
Na1 Na 0.092 0.691 0.431 1
Na2 Na 0.205 0.795 0.000 1
Na3 Na 0.309 0.908 0.569 1
Na4 Na 0.341 0.341 0.774 1
Na5 Na 0.659 0.659 0.226 1
Na6 Na 0.691 0.092 0.431 1
Na7 Na 0.795 0.205 0.000 1
Na8 Na 0.908 0.309 0.569 1
Cd1 Cd 0.470 0.470 0.267 1
Cd2 Cd 0.530 0.530 0.733 1
```

Largest 6 diffraction maxima, in order of rising 2θ, 10° ≤ 2θ ≤ 90°:
| two_theta | Rel. int. |
| --- | --- |
| 11.07 | 463 |
| 11.60 | 1000 |
| 19.54 | 295 |
| 28.80 | 342 |
| 29.00 | 432 |
| 30.43 | 412 |



No. 3
Calculated powder diffractogram
Compound: KNa10Cd3
Radiation: λ = 1.5418 Å (Cu Kα)
Structure: the GGA-PBE geometry in Alexandria
Kinematic intensities with the Lorentz-polarization factor, no thermal factor.

Atomic structure:
```
data_KNa10Cd3
_space_group_name_H-M_alt 'P 1'
_space_group_IT_number 1
_space_group_name_Hall 'P 1'
_cell_length_a 11.411
_cell_length_b 11.411
_cell_length_c 11.411
_cell_angle_alpha 60.00
_cell_angle_beta 60.00
_cell_angle_gamma 60.00
loop_
_atom_site_label
_atom_site_type_symbol
_atom_site_fract_x
_atom_site_fract_y
_atom_site_fract_z
_atom_site_occupancy
K1 K 0.250 0.250 0.250 1
K2 K 0.750 0.750 0.750 1
Na1 Na 0.000 0.000 0.340 1
Na2 Na 0.000 0.000 0.660 1
Na3 Na 0.000 0.340 0.000 1
Na4 Na 0.000 0.340 0.660 1
Na5 Na 0.000 0.660 0.000 1
Na6 Na 0.000 0.660 0.340 1
Na7 Na 0.162 0.613 0.613 1
Na8 Na 0.340 0.000 0.000 1
Na9 Na 0.340 0.000 0.660 1
Na10 Na 0.340 0.660 0.000 1
Na11 Na 0.387 0.387 0.387 1
Na12 Na 0.387 0.387 0.838 1
Na13 Na 0.387 0.838 0.387 1
Na14 Na 0.613 0.162 0.613 1
Na15 Na 0.613 0.613 0.162 1
Na16 Na 0.613 0.613 0.613 1
Na17 Na 0.660 0.000 0.000 1
Na18 Na 0.660 0.000 0.340 1
Na19 Na 0.660 0.340 0.000 1
Na20 Na 0.838 0.387 0.387 1
Cd1 Cd 0.269 0.269 0.731 1
Cd2 Cd 0.269 0.731 0.269 1
Cd3 Cd 0.269 0.731 0.731 1
Cd4 Cd 0.731 0.269 0.269 1
Cd5 Cd 0.731 0.269 0.731 1
Cd6 Cd 0.731 0.731 0.269 1
```

Largest 6 diffraction maxima, in order of rising 2θ, 10° ≤ 2θ ≤ 90°:
| two_theta | Rel. int. |
| --- | --- |
| 19.05 | 1000 |
| 22.03 | 391 |
| 28.74 | 264 |
| 31.36 | 676 |
| 36.95 | 754 |
| 55.82 | 245 |



No. 4
Calculated powder diffractogram
Compound: K12Na5Cd2
Radiation: λ = 1.5418 Å (Cu Kα)
Structure: the GGA-PBE geometry in Alexandria
Kinematic intensities with the Lorentz-polarization factor, no thermal factor.

Atomic structure:
```
data_K12Na5Cd2
_space_group_name_H-M_alt 'P 1'
_space_group_IT_number 1
_space_group_name_Hall 'P 1'
_cell_length_a 10.226
_cell_length_b 10.226
_cell_length_c 10.338
_cell_angle_alpha 100.01
_cell_angle_beta 100.01
_cell_angle_gamma 79.12
loop_
_atom_site_label
_atom_site_type_symbol
_atom_site_fract_x
_atom_site_fract_y
_atom_site_fract_z
_atom_site_occupancy
K1 K 0.098 0.098 0.229 1
K2 K 0.127 0.660 0.128 1
K3 K 0.150 0.512 0.673 1
K4 K 0.340 0.873 0.872 1
K5 K 0.393 0.393 0.351 1
K6 K 0.488 0.850 0.327 1
K7 K 0.512 0.150 0.673 1
K8 K 0.607 0.607 0.649 1
K9 K 0.660 0.127 0.128 1
K10 K 0.850 0.488 0.327 1
K11 K 0.873 0.340 0.872 1
K12 K 0.902 0.902 0.771 1
Na1 Na 0.111 0.111 0.606 1
Na2 Na 0.266 0.266 0.963 1
Na3 Na 0.500 0.500 0.000 1
Na4 Na 0.734 0.734 0.037 1
Na5 Na 0.889 0.889 0.394 1
Cd1 Cd 0.217 0.783 0.500 1
Cd2 Cd 0.783 0.217 0.500 1
```

Largest 6 diffraction maxima, in order of rising 2θ, 10° ≤ 2θ ≤ 90°:
| two_theta | Rel. int. |
| --- | --- |
| 11.52 | 368 |
| 26.47 | 433 |
| 26.68 | 749 |
| 26.90 | 509 |
| 26.99 | 1000 |
| 29.98 | 348 |



No. 5
Calculated powder diffractogram
Compound: K2Na16Cd
Radiation: λ = 1.5418 Å (Cu Kα)
Structure: the GGA-PBE geometry in Alexandria
Kinematic intensities with the Lorentz-polarization factor, no thermal factor.

Atomic structure:
```
data_K2Na16Cd
_space_group_name_H-M_alt 'P 1'
_space_group_IT_number 1
_space_group_name_Hall 'P 1'
_cell_length_a 9.195
_cell_length_b 9.195
_cell_length_c 9.195
_cell_angle_alpha 82.01
_cell_angle_beta 82.01
_cell_angle_gamma 82.01
loop_
_atom_site_label
_atom_site_type_symbol
_atom_site_fract_x
_atom_site_fract_y
_atom_site_fract_z
_atom_site_occupancy
K1 K 0.000 0.000 0.000 1
K2 K 0.331 0.331 0.331 1
Na1 Na 0.015 0.015 0.533 1
Na2 Na 0.015 0.533 0.015 1
Na3 Na 0.156 0.676 0.676 1
Na4 Na 0.319 0.319 0.820 1
Na5 Na 0.319 0.820 0.319 1
Na6 Na 0.382 0.671 0.958 1
Na7 Na 0.382 0.958 0.671 1
Na8 Na 0.533 0.015 0.015 1
Na9 Na 0.581 0.581 0.581 1
Na10 Na 0.671 0.382 0.958 1
Na11 Na 0.671 0.958 0.382 1
Na12 Na 0.676 0.156 0.676 1
Na13 Na 0.676 0.676 0.156 1
Na14 Na 0.820 0.319 0.319 1
Na15 Na 0.958 0.382 0.671 1
Na16 Na 0.958 0.671 0.382 1
Cd1 Cd 0.765 0.765 0.765 1
```

Largest 6 diffraction maxima, in order of rising 2θ, 10° ≤ 2θ ≤ 90°:
| two_theta | Rel. int. |
| --- | --- |
| 12.98 | 229 |
| 25.57 | 367 |
| 26.14 | 354 |
| 29.63 | 1000 |
| 30.13 | 487 |
| 33.24 | 286 |



No. 6
Calculated powder diffractogram
Compound: K2NaCd12Pt3
Radiation: λ = 1.5418 Å (Cu Kα)
Structure: the GGA-PBE geometry in Alexandria
Kinematic intensities with the Lorentz-polarization factor, no thermal factor.

Atomic structure:
```
data_K2NaCd12Pt3
_space_group_name_H-M_alt 'P 1'
_space_group_IT_number 1
_space_group_name_Hall 'P 1'
_cell_length_a 8.996
_cell_length_b 8.996
_cell_length_c 8.996
_cell_angle_alpha 66.26
_cell_angle_beta 66.26
_cell_angle_gamma 66.26
loop_
_atom_site_label
_atom_site_type_symbol
_atom_site_fract_x
_atom_site_fract_y
_atom_site_fract_z
_atom_site_occupancy
K1 K 0.099 0.099 0.099 1
K2 K 0.901 0.901 0.901 1
Na1 Na 0.500 0.500 0.500 1
Cd1 Cd 0.116 0.635 0.635 1
Cd2 Cd 0.190 0.190 0.615 1
Cd3 Cd 0.190 0.615 0.190 1
Cd4 Cd 0.365 0.365 0.884 1
Cd5 Cd 0.365 0.884 0.365 1
Cd6 Cd 0.385 0.810 0.810 1
Cd7 Cd 0.615 0.190 0.190 1
Cd8 Cd 0.635 0.116 0.635 1
Cd9 Cd 0.635 0.635 0.116 1
Cd10 Cd 0.810 0.385 0.810 1
Cd11 Cd 0.810 0.810 0.385 1
Cd12 Cd 0.884 0.365 0.365 1
Pt1 Pt 0.000 0.500 0.500 1
Pt2 Pt 0.500 0.000 0.500 1
Pt3 Pt 0.500 0.500 0.000 1
```

Largest 6 diffraction maxima, in order of rising 2θ, 10° ≤ 2θ ≤ 90°:
| two_theta | Rel. int. |
| --- | --- |
| 12.69 | 590 |
| 18.04 | 402 |
| 21.29 | 676 |
| 25.53 | 419 |
| 36.55 | 1000 |
| 54.29 | 403 |



No. 7
Calculated powder diffractogram
Compound: K2Na2Tl5Cd2
Radiation: λ = 1.5418 Å (Cu Kα)
Structure: the GGA-PBE geometry in Alexandria
Kinematic intensities with the Lorentz-polarization factor, no thermal factor.

Atomic structure:
```
data_K2Na2Tl5Cd2
_space_group_name_H-M_alt 'P 1'
_space_group_IT_number 1
_space_group_name_Hall 'P 1'
_cell_length_a 18.381
_cell_length_b 18.381
_cell_length_c 18.381
_cell_angle_alpha 163.86
_cell_angle_beta 163.86
_cell_angle_gamma 22.90
loop_
_atom_site_label
_atom_site_type_symbol
_atom_site_fract_x
_atom_site_fract_y
_atom_site_fract_z
_atom_site_occupancy
K1 K 0.205 0.205 0.000 1
K2 K 0.795 0.795 0.000 1
Na1 Na 0.320 0.320 0.000 1
Na2 Na 0.680 0.680 0.000 1
Tl1 Tl 0.000 0.000 0.000 1
Tl2 Tl 0.124 0.624 0.500 1
Tl3 Tl 0.376 0.876 0.500 1
Tl4 Tl 0.624 0.124 0.500 1
Tl5 Tl 0.876 0.376 0.500 1
Cd1 Cd 0.080 0.080 0.000 1
Cd2 Cd 0.920 0.920 0.000 1
```

Largest 6 diffraction maxima, in order of rising 2θ, 10° ≤ 2θ ≤ 90°:
| two_theta | Rel. int. |
| --- | --- |
| 17.36 | 521 |
| 19.71 | 324 |
| 26.36 | 1000 |
| 31.56 | 530 |
| 34.78 | 546 |
| 38.84 | 581 |



No. 8
Calculated powder diffractogram
Compound: K2Na6TlCd
Radiation: λ = 1.5418 Å (Cu Kα)
Structure: the GGA-PBE geometry in Alexandria
Kinematic intensities with the Lorentz-polarization factor, no thermal factor.

Atomic structure:
```
data_K2Na6TlCd
_space_group_name_H-M_alt 'P 1'
_space_group_IT_number 1
_space_group_name_Hall 'P 1'
_cell_length_a 8.582
_cell_length_b 8.582
_cell_length_c 8.582
_cell_angle_alpha 60.00
_cell_angle_beta 60.00
_cell_angle_gamma 60.00
loop_
_atom_site_label
_atom_site_type_symbol
_atom_site_fract_x
_atom_site_fract_y
_atom_site_fract_z
_atom_site_occupancy
K1 K 0.250 0.250 0.250 1
K2 K 0.750 0.750 0.750 1
Na1 Na 0.249 0.249 0.751 1
Na2 Na 0.249 0.751 0.249 1
Na3 Na 0.249 0.751 0.751 1
Na4 Na 0.751 0.249 0.249 1
Na5 Na 0.751 0.249 0.751 1
Na6 Na 0.751 0.751 0.249 1
Tl1 Tl 0.500 0.500 0.500 1
Cd1 Cd 0.000 0.000 0.000 1
```

Largest 6 diffraction maxima, in order of rising 2θ, 10° ≤ 2θ ≤ 90°:
| two_theta | Rel. int. |
| --- | --- |
| 14.60 | 695 |
| 20.70 | 1000 |
| 29.44 | 514 |
| 33.01 | 406 |
| 36.26 | 475 |
| 42.12 | 378 |